This entry pairs a crystal structure of Sm4I6O with its calculated PXRD pattern. Radiation: Cu Kα, 1.54184 Å. Structure: DFT lattice parameters and positions (GGA-PBE).
No peak broadening, texture or thermal motion is included.

Lattice parameters (Å, degrees): 9.8861 9.8861 8.4750 90.00 90.00 120.00
Positions (direct):
Sm  0.2018  0.4035  0.0000
Sm  0.2018  0.7982  0.0000
Sm  0.3333  0.6667  0.6920
Sm  0.4035  0.2018  0.5000
Sm  0.5965  0.7982  0.0000
Sm  0.6667  0.3333  0.1920
Sm  0.7982  0.2018  0.5000
Sm  0.7982  0.5965  0.5000
I  0.0545  0.5273  0.3173
I  0.1349  0.2699  0.6296
I  0.1349  0.8651  0.6296
I  0.2699  0.1349  0.1296
I  0.4727  0.5273  0.3173
I  0.4727  0.9455  0.3173
I  0.5273  0.0545  0.8173
I  0.5273  0.4727  0.8173
I  0.7301  0.8651  0.6296
I  0.8651  0.1349  0.1296
I  0.8651  0.7301  0.1296
I  0.9455  0.4727  0.8173
O  0.3333  0.6667  0.9767
O  0.6667  0.3333  0.4767

Peak list (10 most intense, 2θ = 15–90°, by angle)
- 23.42 deg, rel. 266
- 29.55 deg, rel. 982
- 29.66 deg, rel. 1000
- 33.12 deg, rel. 816
- 33.40 deg, rel. 465
- 34.89 deg, rel. 558
- 36.35 deg, rel. 650
- 38.17 deg, rel. 318
- 54.69 deg, rel. 230
- 57.11 deg, rel. 447